# 1
For LiCuF4, DFT lattice parameters and positions (GGA-PBE) gives the calculated X-ray powder pattern in this record (a wavelength of 1.5418 Å).
Kinematic intensities with the Lorentz-polarization factor, no thermal factor.

Cell and atoms:
Cell: 7.2734 7.4392 10.1968 Å, 90.00 90.22 90.00°
Fractional coordinates of all 48 atoms:
1 Li 0.2498 0.0989 0.0300
2 Li 0.2498 0.4011 0.5300
3 Li 0.2501 0.6259 0.0205
4 Li 0.2501 0.8741 0.5205
5 Li 0.7499 0.1259 0.4795
6 Li 0.7499 0.3741 0.9795
7 Li 0.7502 0.5989 0.4700
8 Li 0.7502 0.9011 0.9700
9 Cu 0.0013 0.1235 0.7522
10 Cu 0.0013 0.3765 0.2522
11 Cu 0.4990 0.1235 0.7524
12 Cu 0.4990 0.3765 0.2524
13 Cu 0.5010 0.6235 0.7476
14 Cu 0.5010 0.8765 0.2476
15 Cu 0.9987 0.6235 0.7478
16 Cu 0.9987 0.8765 0.2478
17 F 0.0461 0.1262 0.2375
18 F 0.0461 0.3738 0.7375
19 F 0.0785 0.6412 0.5744
20 F 0.0785 0.8588 0.0744
21 F 0.0799 0.1014 0.5821
22 F 0.0799 0.3986 0.0821
23 F 0.2494 0.0928 0.8272
24 F 0.2494 0.4072 0.3272
25 F 0.2496 0.6544 0.8192
26 F 0.2496 0.8456 0.3192
27 F 0.4198 0.1017 0.5820
28 F 0.4198 0.3983 0.0820
29 F 0.4209 0.6414 0.5740
30 F 0.4209 0.8586 0.0740
31 F 0.4538 0.1265 0.2374
32 F 0.4538 0.3735 0.7374
33 F 0.5462 0.6265 0.2626
34 F 0.5462 0.8735 0.7626
35 F 0.5791 0.1414 0.9260
36 F 0.5791 0.3586 0.4260
37 F 0.5802 0.6017 0.9180
38 F 0.5802 0.8983 0.4180
39 F 0.7504 0.1544 0.6808
40 F 0.7504 0.3456 0.1808
41 F 0.7506 0.5928 0.6728
42 F 0.7506 0.9072 0.1728
43 F 0.9201 0.6014 0.9179
44 F 0.9201 0.8986 0.4179
45 F 0.9215 0.1412 0.9256
46 F 0.9215 0.3588 0.4256
47 F 0.9539 0.6262 0.2625
48 F 0.9539 0.8738 0.7625

Most intense lines, 15 to 90 degrees two-theta, in order of rising 2θ:
17.4°, rel. 97
24.5°, rel. 55
25.5°, rel. 100
30.1°, rel. 20
30.2°, rel. 20
35.2°, rel. 16
35.6°, rel. 26
49.0°, rel. 21
57.1°, rel. 13
58.6°, rel. 13

---

# 2
For MgTi2O5, DFT lattice parameters and positions (GGA-PBE) gives the calculated X-ray powder pattern in this record (a wavelength of 1.5418 Å).
Kinematic intensities with the Lorentz-polarization factor, no thermal factor.

Cell and atoms:
Cell: 5.2659 10.0756 10.6442 Å, 90.00 96.53 90.00°
Fractional coordinates of all 48 atoms:
1 Mg 0.0116 0.0000 0.3979
2 Mg 0.2326 0.8181 0.9524
3 Mg 0.3405 0.9993 0.7336
4 Mg 0.6595 0.4993 0.2664
5 Mg 0.7674 0.3181 0.0476
6 Mg 0.9884 0.5000 0.6021
7 Ti 0.1022 0.3165 0.3761
8 Ti 0.1100 0.6821 0.3767
9 Ti 0.2235 0.1895 0.9571
10 Ti 0.3184 0.4999 0.9362
11 Ti 0.4440 0.3122 0.7113
12 Ti 0.4456 0.6911 0.7092
13 Ti 0.5544 0.1911 0.2908
14 Ti 0.5560 0.8122 0.2887
15 Ti 0.6816 0.9999 0.0638
16 Ti 0.7765 0.6895 0.0429
17 Ti 0.8900 0.1821 0.6233
18 Ti 0.8978 0.8165 0.6239
19 O 0.0296 0.0029 0.5917
20 O 0.0726 0.6279 0.9841
21 O 0.0966 0.3678 0.9833
22 O 0.1383 0.1807 0.7742
23 O 0.1486 0.8168 0.7629
24 O 0.1783 0.3148 0.5671
25 O 0.1927 0.6847 0.5615
26 O 0.2643 0.1383 0.3547
27 O 0.2666 0.8648 0.3491
28 O 0.2854 0.5039 0.7506
29 O 0.4004 0.3651 0.3141
30 O 0.4065 0.0082 0.9301
31 O 0.4114 0.6373 0.3167
32 O 0.4762 0.1817 0.1064
33 O 0.4921 0.8209 0.1087
34 O 0.5079 0.3209 0.8913
35 O 0.5238 0.6817 0.8936
36 O 0.5886 0.1373 0.6833
37 O 0.5935 0.5082 0.0699
38 O 0.5996 0.8651 0.6859
39 O 0.7146 0.0039 0.2494
40 O 0.7334 0.3648 0.6509
41 O 0.7357 0.6383 0.6453
42 O 0.8073 0.1847 0.4385
43 O 0.8217 0.8148 0.4329
44 O 0.8514 0.3168 0.2371
45 O 0.8617 0.6807 0.2258
46 O 0.9034 0.8678 0.0167
47 O 0.9274 0.1279 0.0159
48 O 0.9704 0.5029 0.4083

Most intense lines, 15 to 90 degrees two-theta, in order of rising 2θ:
17.6°, rel. 20
18.0°, rel. 30
25.3°, rel. 100
32.3°, rel. 64
40.8°, rel. 17
45.7°, rel. 19
48.2°, rel. 33
55.8°, rel. 16
59.2°, rel. 20
59.7°, rel. 18

---

# 3
For Ti2P3O12, DFT lattice parameters and positions (GGA-PBE) gives the calculated X-ray powder pattern in this record (a wavelength of 1.5418 Å).
Kinematic intensities with the Lorentz-polarization factor, no thermal factor.

Cell and atoms:
Cell: 8.6771 8.6771 8.6771 Å, 60.27 60.27 60.27°
Fractional coordinates of all 34 atoms:
1 Ti 0.1363 0.1363 0.1363
2 Ti 0.3637 0.3637 0.3637
3 Ti 0.6363 0.6363 0.6363
4 Ti 0.8637 0.8637 0.8637
5 P 0.0332 0.7500 0.4668
6 P 0.2500 0.5332 0.9668
7 P 0.4668 0.0332 0.7500
8 P 0.5332 0.9668 0.2500
9 P 0.7500 0.4668 0.0332
10 P 0.9668 0.2500 0.5332
11 O 0.0017 0.2037 0.3668
12 O 0.0575 0.9171 0.2819
13 O 0.0829 0.7181 0.9425
14 O 0.1332 0.2963 0.4983
15 O 0.2037 0.3668 0.0017
16 O 0.2181 0.5829 0.4425
17 O 0.2819 0.0575 0.9171
18 O 0.2963 0.4983 0.1332
19 O 0.3668 0.0017 0.2037
20 O 0.4171 0.5575 0.7819
21 O 0.4425 0.2181 0.5829
22 O 0.4983 0.1332 0.2963
23 O 0.5017 0.8668 0.7037
24 O 0.5575 0.7819 0.4171
25 O 0.5829 0.4425 0.2181
26 O 0.6332 0.9983 0.7963
27 O 0.7037 0.5017 0.8668
28 O 0.7181 0.9425 0.0829
29 O 0.7819 0.4171 0.5575
30 O 0.7963 0.6332 0.9983
31 O 0.8668 0.7037 0.5017
32 O 0.9171 0.2819 0.0575
33 O 0.9425 0.0829 0.7181
34 O 0.9983 0.7963 0.6332

Most intense lines, 15 to 90 degrees two-theta, in order of rising 2θ:
20.4°, rel. 63
24.0°, rel. 100
25.2°, rel. 8
29.0°, rel. 35
31.7°, rel. 17
32.6°, rel. 17
35.7°, rel. 20
46.8°, rel. 15
49.1°, rel. 10
55.9°, rel. 18

---

# 4
For SnH12C4S2Cl4, DFT lattice parameters and positions (GGA-PBE) gives the calculated X-ray powder pattern in this record (a wavelength of 1.5418 Å).
Kinematic intensities with the Lorentz-polarization factor, no thermal factor.

Cell and atoms:
Cell: 7.2503 12.7657 9.5289 Å, 90.00 120.96 90.00°
Fractional coordinates of all 46 atoms:
1 Sn 0.0000 0.0000 0.0000
2 Sn 0.0000 0.5000 0.5000
3 H 0.0284 0.2492 0.6686
4 H 0.0284 0.2508 0.1686
5 H 0.0365 0.2033 0.4934
6 H 0.0365 0.2967 0.9934
7 H 0.2473 0.1674 0.6964
8 H 0.2473 0.3326 0.1964
9 H 0.3467 0.1093 0.3882
10 H 0.3467 0.3907 0.8882
11 H 0.4370 0.5744 0.1435
12 H 0.4370 0.9256 0.6435
13 H 0.4670 0.7080 0.0993
14 H 0.4670 0.7920 0.5993
15 H 0.5330 0.2080 0.4007
16 H 0.5330 0.2920 0.9007
17 H 0.5630 0.0744 0.3565
18 H 0.5630 0.4256 0.8565
19 H 0.6533 0.6093 0.1118
20 H 0.6533 0.8907 0.6118
21 H 0.7527 0.6674 0.8036
22 H 0.7527 0.8326 0.3036
23 H 0.9635 0.7033 0.0066
24 H 0.9635 0.7967 0.5066
25 H 0.9716 0.7492 0.8314
26 H 0.9716 0.7508 0.3314
27 C 0.1329 0.2287 0.6215
28 C 0.1329 0.2713 0.1215
29 C 0.4476 0.1353 0.3405
30 C 0.4476 0.3647 0.8405
31 C 0.5524 0.6353 0.1595
32 C 0.5524 0.8647 0.6595
33 C 0.8671 0.7287 0.8785
34 C 0.8671 0.7713 0.3785
35 S 0.2877 0.1603 0.1240
36 S 0.2877 0.3397 0.6240
37 S 0.7123 0.6603 0.3760
38 S 0.7123 0.8397 0.8760
39 Cl 0.1304 0.5436 0.3165
40 Cl 0.1304 0.9564 0.8165
41 Cl 0.2641 0.6197 0.7082
42 Cl 0.2641 0.8803 0.2082
43 Cl 0.7359 0.1197 0.7918
44 Cl 0.7359 0.3803 0.2918
45 Cl 0.8696 0.0436 0.1835
46 Cl 0.8696 0.4564 0.6835

Most intense lines, 15 to 90 degrees two-theta, in order of rising 2θ:
18.9°, rel. 79
19.9°, rel. 95
23.1°, rel. 36
23.6°, rel. 30
30.5°, rel. 100
31.4°, rel. 58
31.5°, rel. 61
32.7°, rel. 49
35.7°, rel. 33
47.2°, rel. 34

---

# 5
For Pr3Ni4Ge4, DFT lattice parameters and positions (GGA-PBE) gives the calculated X-ray powder pattern in this record (a wavelength of 1.5418 Å).
Kinematic intensities with the Lorentz-polarization factor, no thermal factor.

Cell and atoms:
Cell: 12.4330 12.4330 12.4330 Å, 160.77 160.61 27.44°
Fractional coordinates of all 11 atoms:
1 Pr 0.0000 0.0000 0.0000
2 Pr 0.1485 0.6485 0.5000
3 Pr 0.8515 0.3515 0.5000
4 Ni 0.3008 0.8008 0.5000
5 Ni 0.4503 0.4503 0.0000
6 Ni 0.5497 0.5497 0.0000
7 Ni 0.6992 0.1992 0.5000
8 Ge 0.2500 0.2500 0.0000
9 Ge 0.4003 0.9003 0.5000
10 Ge 0.5997 0.0997 0.5000
11 Ge 0.7500 0.7500 0.0000

Most intense lines, 15 to 90 degrees two-theta, in order of rising 2θ:
31.2°, rel. 16
33.7°, rel. 47
33.8°, rel. 100
40.0°, rel. 23
43.2°, rel. 27
43.6°, rel. 27
46.8°, rel. 18
56.2°, rel. 21
60.3°, rel. 13
63.0°, rel. 17

---

# 6
For PrEu2SbO6, DFT lattice parameters and positions (GGA-PBE) gives the calculated X-ray powder pattern in this record (a wavelength of 1.5418 Å).
Kinematic intensities with the Lorentz-polarization factor, no thermal factor.

Cell and atoms:
Cell: 8.4968 8.4968 8.4968 Å, 90.00 90.00 90.00°
Fractional coordinates of all 40 atoms:
1 Pr 0.0000 0.0000 0.0000
2 Pr 0.0000 0.5000 0.5000
3 Pr 0.5000 0.0000 0.5000
4 Pr 0.5000 0.5000 0.0000
5 Eu 0.2500 0.2500 0.2500
6 Eu 0.2500 0.2500 0.7500
7 Eu 0.2500 0.7500 0.2500
8 Eu 0.2500 0.7500 0.7500
9 Eu 0.7500 0.2500 0.2500
10 Eu 0.7500 0.2500 0.7500
11 Eu 0.7500 0.7500 0.2500
12 Eu 0.7500 0.7500 0.7500
13 Sb 0.0000 0.0000 0.5000
14 Sb 0.0000 0.5000 0.0000
15 Sb 0.5000 0.0000 0.0000
16 Sb 0.5000 0.5000 0.5000
17 O 0.0393 0.5485 0.7708
18 O 0.0393 0.9515 0.7292
19 O 0.0485 0.2292 0.5393
20 O 0.0485 0.2708 0.9607
21 O 0.2292 0.5393 0.0485
22 O 0.2292 0.9607 0.4515
23 O 0.2708 0.5393 0.4515
24 O 0.2708 0.9607 0.0485
25 O 0.4515 0.2292 0.9607
26 O 0.4515 0.2708 0.5393
27 O 0.4607 0.5485 0.7292
28 O 0.4607 0.9515 0.7708
29 O 0.5393 0.0485 0.2292
30 O 0.5393 0.4515 0.2708
31 O 0.5485 0.7292 0.4607
32 O 0.5485 0.7708 0.0393
33 O 0.7292 0.0393 0.9515
34 O 0.7292 0.4607 0.5485
35 O 0.7708 0.0393 0.5485
36 O 0.7708 0.4607 0.9515
37 O 0.9515 0.7292 0.0393
38 O 0.9515 0.7708 0.4607
39 O 0.9607 0.0485 0.2708
40 O 0.9607 0.4515 0.2292

Most intense lines, 15 to 90 degrees two-theta, in order of rising 2θ:
29.7°, rel. 100
33.3°, rel. 1
36.6°, rel. 2
42.6°, rel. 25
52.8°, rel. 44
61.8°, rel. 15
70.0°, rel. 18
77.9°, rel. 5
85.5°, rel. 23

---

# 7
For Ba2NdUO6, DFT lattice parameters and positions (GGA-PBE) gives the calculated X-ray powder pattern in this record (a wavelength of 1.5418 Å).
Kinematic intensities with the Lorentz-polarization factor, no thermal factor.

Cell and atoms:
Cell: 6.3496 6.3496 6.3496 Å, 60.00 60.00 60.00°
Fractional coordinates of all 10 atoms:
1 Ba 0.2500 0.2500 0.2500
2 Ba 0.7500 0.7500 0.7500
3 Nd 0.0000 0.0000 0.0000
4 U 0.5000 0.5000 0.5000
5 O 0.2600 0.2600 0.7400
6 O 0.2600 0.7400 0.2600
7 O 0.2600 0.7400 0.7400
8 O 0.7400 0.2600 0.2600
9 O 0.7400 0.2600 0.7400
10 O 0.7400 0.7400 0.2600

Most intense lines, 15 to 90 degrees two-theta, in order of rising 2θ:
17.1°, rel. 4
19.8°, rel. 7
28.1°, rel. 100
40.2°, rel. 29
45.2°, rel. 3
49.7°, rel. 42
58.1°, rel. 19
65.8°, rel. 19
73.0°, rel. 6
79.9°, rel. 23

---

# 8
For Sr3InP3, DFT lattice parameters and positions (GGA-PBE) gives the calculated X-ray powder pattern in this record (a wavelength of 1.5418 Å).
Kinematic intensities with the Lorentz-polarization factor, no thermal factor.

Cell and atoms:
Cell: 12.9448 4.3585 13.9789 Å, 90.00 90.00 90.00°
Fractional coordinates of all 28 atoms:
1 Sr 0.0724 0.2500 0.1048
2 Sr 0.1439 0.7500 0.5035
3 Sr 0.2260 0.7500 0.7930
4 Sr 0.2740 0.2500 0.2930
5 Sr 0.3561 0.2500 0.0035
6 Sr 0.4276 0.7500 0.6048
7 Sr 0.5724 0.2500 0.3952
8 Sr 0.6439 0.7500 0.9965
9 Sr 0.7260 0.7500 0.7070
10 Sr 0.7740 0.2500 0.2070
11 Sr 0.8561 0.2500 0.4965
12 Sr 0.9276 0.7500 0.8952
13 In 0.0526 0.2500 0.7019
14 In 0.4474 0.7500 0.2019
15 In 0.5526 0.2500 0.7981
16 In 0.9474 0.7500 0.2981
17 P 0.0470 0.2500 0.3556
18 P 0.0959 0.2500 0.8851
19 P 0.2414 0.2500 0.6277
20 P 0.2586 0.7500 0.1277
21 P 0.4041 0.7500 0.3851
22 P 0.4530 0.7500 0.8556
23 P 0.5470 0.2500 0.1444
24 P 0.5959 0.2500 0.6149
25 P 0.7414 0.2500 0.8723
26 P 0.7586 0.7500 0.3723
27 P 0.9041 0.7500 0.1149
28 P 0.9530 0.7500 0.6444

Most intense lines, 15 to 90 degrees two-theta, in order of rising 2θ:
25.4°, rel. 40
28.2°, rel. 45
28.9°, rel. 83
29.8°, rel. 43
31.3°, rel. 81
32.8°, rel. 64
34.5°, rel. 100
35.7°, rel. 53
41.4°, rel. 60
52.6°, rel. 52